Starting from the GGA-PBE geometry in Alexandria, the X-ray diffraction stick pattern of CdIn2SbO6 was simulated for Cu Kα (λ = 1.5418 Å).

Crystal structure
```
CdIn2SbO6
1.0
2.825 1.631 4.985
-2.825 1.631 4.985
0.000 -3.262 4.985
Cd In Sb O
1 2 1 6
Direct
0.000 0.000 0.000
0.272 0.272 0.272
0.781 0.781 0.781
0.482 0.482 0.482
0.099 0.656 0.407
0.198 0.571 0.865
0.407 0.099 0.656
0.571 0.865 0.198
0.656 0.407 0.099
0.865 0.198 0.571
```

Main lines, in order of rising 2θ (10° ≤ 2θ ≤ 90°):
| 2θ (°) | I (rel.) |
| --- | --- |
| 21.71 | 198 |
| 30.08 | 1000 |
| 31.67 | 959 |
| 44.24 | 399 |
| 48.72 | 326 |
| 55.43 | 386 |
| 56.41 | 287 |
| 74.35 | 197 |